Starting from a structure optimized by DFT (GGA+U), the powder XRD pattern of MoOs4O12 was calculated for CuKα.
Intensities are scaled so that the largest is 100.

Most intense lines, 2θ = 10–90°, low angle first:
d (Å)  intensity
3.820  100
3.636  40
2.701  48
2.634  95
2.169  25
1.910  29
1.709  20
1.691  20
1.546  43
1.508  23

Atomic structure:
a = 6.5126 Å, b = 6.5126 Å, c = 6.5126 Å
α = 108.17°, β = 108.17°, γ = 112.11°
Element x y z (fractional)
Mo (0.0000, 0.0000, 0.0000)
Os (0.0000, 0.0000, 0.5000)
Os (0.0000, 0.5000, 0.0000)
Os (0.5000, 0.0000, 0.0000)
Os (0.5000, 0.5000, 0.5000)
O (0.0480, 0.8186, 0.2294)
O (0.1814, 0.4107, 0.2294)
O (0.1814, 0.9520, 0.7706)
O (0.2959, 0.2959, 0.5918)
O (0.2959, 0.7041, 0.0000)
O (0.4107, 0.1814, 0.2294)
O (0.5893, 0.8186, 0.7706)
O (0.7041, 0.2959, 0.0000)
O (0.7041, 0.7041, 0.4082)
O (0.8186, 0.0480, 0.2294)
O (0.8186, 0.5893, 0.7706)
O (0.9520, 0.1814, 0.7706)